1.
Theoretical X-ray diffraction stick pattern of UCr6P4 for Cu Kα (λ = 1.5418 Å), from the PBE geometry in Alexandria.
No peak broadening, texture or thermal motion is included.

Crystal structure
```
data_UCr6P4
_cell_length_a 3.479
_cell_length_b 6.887
_cell_length_c 11.900
_cell_angle_alpha 90.00
_cell_angle_beta 90.00
_cell_angle_gamma 90.00
_symmetry_space_group_name_H-M 'P m m n'
_symmetry_Int_Tables_number 59
loop_
_symmetry_equiv_pos_as_xyz
'x,y,z'
'-x,-y,-z'
'-x+1/2,-y+1/2,z'
'x+1/2,y+1/2,-z'
'x+1/2,-y,-z'
'-x+1/2,y,z'
'-x,y+1/2,-z'
'x,-y+1/2,z'
loop_
_atom_site_label
_atom_site_type_symbol
_atom_site_fract_x
_atom_site_fract_y
_atom_site_fract_z
U1 U 0.250 0.250 0.181
Cr1 Cr 0.250 0.055 0.923
Cr2 Cr 0.250 0.554 0.410
Cr3 Cr 0.250 0.750 0.219
Cr4 Cr 0.250 0.750 0.615
P1 P 0.250 0.033 0.726
P2 P 0.250 0.250 0.512
P3 P 0.250 0.750 0.011
```

The 12 most intense peaks (2θ = 5–70°), low angle first:
hkl  2θ (°)  I/Imax
0 0 1  7.43  15
0 1 1  14.87  44
1 0 1  26.70  16
1 1 1  29.74  17
0 1 4  32.79  15
0 2 3  34.49  21
1 1 3  36.76  38
1 2 1  37.52  36
1 0 4  39.85  100
0 3 1  40.03  32
2 0 0  52.62  19
1 3 3  53.09  18



2.
Theoretical X-ray diffraction stick pattern of UCrP for Cu Kα (λ = 1.5418 Å), from the PBE geometry in Alexandria.
No peak broadening, texture or thermal motion is included.

Crystal structure
```
data_UCrP
_cell_length_a 3.653
_cell_length_b 3.691
_cell_length_c 6.952
_cell_angle_alpha 88.60
_cell_angle_beta 80.87
_cell_angle_gamma 89.37
_symmetry_space_group_name_H-M 'P -1'
_symmetry_Int_Tables_number 2
loop_
_symmetry_equiv_pos_as_xyz
'x,y,z'
'-x,-y,-z'
loop_
_atom_site_label
_atom_site_type_symbol
_atom_site_fract_x
_atom_site_fract_y
_atom_site_fract_z
U1 U 0.171 0.254 0.391
Cr1 Cr 0.292 0.723 0.997
P1 P 0.275 0.235 0.785
```

The 12 most intense peaks (2θ = 5–70°), low angle first:
hkl  2θ (°)  I/Imax
0 0 1  12.90  100
1 0 1  26.02  71
1 0 2  33.06  46
1 1 0  34.65  26
1 -1 0  34.91  25
0 1 2  35.31  38
0 1 -2  36.15  54
-1 1 1  38.58  46
1 1 -1  38.74  44
1 0 -2  38.99  24
0 2 0  49.40  28
1 0 -3  50.56  27



3.
Theoretical X-ray diffraction stick pattern of Y2CrP for Cu Kα (λ = 1.5418 Å), from the PBE geometry in Alexandria.
No peak broadening, texture or thermal motion is included.

Crystal structure
```
data_Y2CrP
_cell_length_a 17.701
_cell_length_b 3.959
_cell_length_c 5.543
_cell_angle_alpha 90.00
_cell_angle_beta 99.67
_cell_angle_gamma 90.00
_symmetry_space_group_name_H-M 'C 1 m 1'
_symmetry_Int_Tables_number 8
loop_
_symmetry_equiv_pos_as_xyz
'x,y,z'
'x,-y,z'
'x+1/2,y+1/2,z'
'x+1/2,-y+1/2,z'
loop_
_atom_site_label
_atom_site_type_symbol
_atom_site_fract_x
_atom_site_fract_y
_atom_site_fract_z
Y1 Y 0.000 0.000 0.000
Y2 Y 0.088 0.500 0.544
Y3 Y 0.214 0.000 0.111
Y4 Y 0.348 0.000 0.671
Cr1 Cr 0.343 0.500 0.165
Cr2 Cr 0.409 0.000 0.227
P1 P 0.108 0.500 0.053
P2 P 0.462 0.500 0.483
```

The 12 most intense peaks (2θ = 5–70°), low angle first:
hkl  2θ (°)  I/Imax
2 0 0  10.14  42
3 1 0  27.25  50
4 0 1  28.24  51
1 1 1  28.81  51
3 1 -1  30.48  31
2 0 -2  32.66  47
0 0 2  32.78  42
5 1 0  34.25  100
5 1 -1  36.11  69
5 1 1  40.02  40
0 2 0  45.84  47
2 2 -2  57.45  33